1.
# PmNiAs2Pd2
Theoretical XRD peak list, Cu Kα (weighted mean of Kα1 and Kα2). Input: DFT lattice parameters and positions (PBE).
Lines closer than 0.1° are merged.

Structural model:
Cell lengths 9.4638, 9.4638, 9.4638 Å; angles 155.81, 155.81, 34.47 degrees
Sites, in units of the cell vectors:
Pm1 0.0000 0.0000 0.0000
Ni1 0.5000 0.5000 0.0000
As1 0.1650 0.1650 0.0000
As2 0.8350 0.8350 0.0000
Pd1 0.2500 0.7500 0.5000
Pd2 0.7500 0.2500 0.5000

Most intense lines, 2θ from 10° to 80°, sorted by position:
| 2θ (°) | Rel. int. |
| --- | --- |
| 19.64 | 74 |
| 22.96 | 43 |
| 33.47 | 95 |
| 44.12 | 100 |
| 45.75 | 45 |
| 50.24 | 24 |
| 60.99 | 15 |
| 66.70 | 14 |
| 76.72 | 15 |
| 79.98 | 17 |


2.
# Li7PrCd4
Theoretical XRD peak list, Cu Kα (weighted mean of Kα1 and Kα2). Input: DFT lattice parameters and positions (PBE).
Lines closer than 0.1° are merged.

Structural model:
Cell lengths 7.3768, 7.3768, 8.7784 Å; angles 123.96, 123.96, 40.71 degrees
Sites, in units of the cell vectors:
Li1 0.0000 0.0000 0.0000
Li2 0.1998 0.1998 0.7260
Li3 0.2799 0.2799 0.4394
Li4 0.4415 0.4415 0.3127
Li5 0.5585 0.5585 0.6873
Li6 0.7201 0.7201 0.5606
Li7 0.8002 0.8002 0.2740
Pr1 0.5000 0.5000 0.0000
Cd1 0.0457 0.0457 0.3456
Cd2 0.2003 0.2003 0.0368
Cd3 0.7997 0.7997 0.9632
Cd4 0.9543 0.9543 0.6544

Most intense lines, 2θ from 10° to 80°, sorted by position:
| 2θ (°) | Rel. int. |
| --- | --- |
| 12.56 | 52 |
| 19.05 | 17 |
| 25.41 | 34 |
| 26.04 | 30 |
| 26.57 | 17 |
| 28.23 | 100 |
| 34.97 | 36 |
| 37.81 | 39 |
| 38.32 | 33 |
| 52.83 | 16 |


3.
# CeHo5Er12
Theoretical XRD peak list, Cu Kα (weighted mean of Kα1 and Kα2). Input: DFT lattice parameters and positions (PBE).
Lines closer than 0.1° are merged.

Structural model:
Cell lengths 7.7097, 7.7097, 10.9369 Å; angles 111.15, 111.15, 84.20 degrees
Sites, in units of the cell vectors:
Ce1 0.0000 0.0000 0.0000
Ho1 0.1666 0.8334 0.5000
Ho2 0.3328 0.6672 0.0000
Ho3 0.5000 0.5000 0.5000
Ho4 0.6672 0.3328 0.0000
Ho5 0.8334 0.1666 0.5000
Er1 0.0058 0.6749 0.1518
Er2 0.0261 0.3589 0.3260
Er3 0.3078 0.3078 0.6702
Er4 0.3251 0.9942 0.8482
Er5 0.3381 0.3381 0.1518
Er6 0.3589 0.0261 0.3260
Er7 0.6411 0.9739 0.6740
Er8 0.6619 0.6619 0.8482
Er9 0.6749 0.0058 0.1518
Er10 0.6922 0.6922 0.3298
Er11 0.9739 0.6411 0.6740
Er12 0.9942 0.3251 0.8482

Most intense lines, 2θ from 10° to 80°, sorted by position:
| 2θ (°) | Rel. int. |
| --- | --- |
| 27.38 | 28 |
| 30.67 | 93 |
| 31.30 | 84 |
| 31.58 | 100 |
| 32.76 | 80 |
| 35.30 | 46 |
| 36.18 | 35 |
| 37.55 | 51 |
| 63.00 | 43 |
| 63.88 | 31 |


4.
# Ca2ZnCd7
Theoretical XRD peak list, Cu Kα (weighted mean of Kα1 and Kα2). Input: DFT lattice parameters and positions (PBE).
Lines closer than 0.1° are merged.

Structural model:
Cell lengths 7.3896, 7.3896, 7.3896 Å; angles 60.00, 60.00, 60.00 degrees
Sites, in units of the cell vectors:
Ca1 0.2500 0.2500 0.2500
Ca2 0.7500 0.7500 0.7500
Zn1 0.0000 0.0000 0.0000
Cd1 0.2425 0.2425 0.7575
Cd2 0.2425 0.7575 0.2425
Cd3 0.2425 0.7575 0.7575
Cd4 0.5000 0.5000 0.5000
Cd5 0.7575 0.2425 0.2425
Cd6 0.7575 0.2425 0.7575
Cd7 0.7575 0.7575 0.2425

Most intense lines, 2θ from 10° to 80°, sorted by position:
| 2θ (°) | Rel. int. |
| --- | --- |
| 16.97 | 67 |
| 29.61 | 74 |
| 34.32 | 100 |
| 38.53 | 34 |
| 49.33 | 68 |
| 52.54 | 17 |
| 58.59 | 29 |
| 61.47 | 22 |
| 72.34 | 10 |
| 74.93 | 9 |


5.
# Li2PmCu2
Theoretical XRD peak list, Cu Kα (weighted mean of Kα1 and Kα2). Input: DFT lattice parameters and positions (PBE).
Lines closer than 0.1° are merged.

Structural model:
Cell lengths 12.6563, 12.6563, 12.6563 Å; angles 162.42, 161.85, 25.38 degrees
Sites, in units of the cell vectors:
Li1 0.0483 0.2983 0.7500
Li2 0.4498 0.1998 0.2500
Li3 0.5502 0.8002 0.7500
Li4 0.9517 0.7017 0.2500
Pm1 0.3261 0.5761 0.7500
Pm2 0.6739 0.4239 0.2500
Cu1 0.1210 0.8710 0.2500
Cu2 0.2220 0.9720 0.2500
Cu3 0.7780 0.0280 0.7500
Cu4 0.8790 0.1290 0.7500

Most intense lines, 2θ from 10° to 80°, sorted by position:
| 2θ (°) | Rel. int. |
| --- | --- |
| 29.33 | 19 |
| 33.05 | 100 |
| 34.40 | 52 |
| 35.43 | 67 |
| 39.86 | 48 |
| 45.43 | 21 |
| 46.40 | 22 |
| 46.97 | 19 |
| 58.20 | 22 |
| 63.26 | 23 |


6.
# DyCuP2O8
Theoretical XRD peak list, Cu Kα (weighted mean of Kα1 and Kα2). Input: DFT lattice parameters and positions (PBE).
Lines closer than 0.1° are merged.

Structural model:
Cell lengths 5.1473, 5.1473, 6.4651 Å; angles 90.00, 90.00, 120.00 degrees
Sites, in units of the cell vectors:
Dy1 0.0000 0.0000 0.0000
Cu1 0.0000 0.0000 0.5000
P1 0.3333 0.6667 0.2251
P2 0.6667 0.3333 0.7749
O1 0.1664 0.3327 0.2904
O2 0.1664 0.8336 0.2904
O3 0.3327 0.1664 0.7096
O4 0.3333 0.6667 0.9866
O5 0.6667 0.3333 0.0134
O6 0.6673 0.8336 0.2904
O7 0.8336 0.1664 0.7096
O8 0.8336 0.6673 0.7096

Most intense lines, 2θ from 10° to 80°, sorted by position:
| 2θ (°) | Rel. int. |
| --- | --- |
| 13.70 | 24 |
| 19.92 | 100 |
| 24.25 | 35 |
| 34.27 | 69 |
| 34.86 | 54 |
| 37.62 | 20 |
| 45.03 | 33 |
| 49.69 | 38 |
| 62.13 | 25 |
| 68.56 | 14 |